# ZnBPd3
Computed powder diffractogram, Cu Kα X-rays. Input: a structure optimized by DFT (GGA-PBE).

Atomic structure:
```
10
Lattice="4.7903 -2.8607 0.0000 4.7903 2.8607 0.0000 -2.3930 0.0000 5.0451" Properties=species:S:1:pos:R:3 pbc="T T T"
Zn 3.5938 1.6653 2.5226
Zn 4.7903 -1.6653 0.0000
B 6.2396 1.4365 1.2956
B 5.0431 -1.4365 3.8182
Pd 1.1942 0.4316 2.2107
Pd 2.2847 1.1315 4.9022
Pd -0.0023 -0.4316 4.7332
Pd 3.4812 -1.1315 2.3796
Pd 5.8316 0.3691 3.0368
Pd 7.0281 -0.3691 0.5143
```

Largest 6 diffraction maxima, in order of rising 2θ, 2θ = 5–70°:
2θ = 35.6°, rel. 31
2θ = 36.1°, rel. 26
2θ = 37.7°, rel. 100
2θ = 41.7°, rel. 69
2θ = 45.7°, rel. 44
2θ = 67.9°, rel. 20